# 1
The following is a calculated powder diffraction line list of V2FeCu3O6. It was derived from the GGA+U geometry in the Materials Project, using Cu Kα (weighted mean of Kα1 and Kα2).
Kinematic intensities with the Lorentz-polarization factor, no thermal factor.

Peak list (6 most intense, 10 to 80 degrees two-theta, sorted by position)
d (Å), Rel. int.
2.876, 45
2.537, 52
2.504, 100
2.241, 37
1.663, 31
1.443, 30

Atomic structure:
```
data_V2FeCu3O6
_cell_length_a 6.0160
_cell_length_b 6.0160
_cell_length_c 9.0937
_cell_angle_alpha 119.19
_cell_angle_beta 119.19
_cell_angle_gamma 28.98
_symmetry_space_group_name_H-M 'P 1'
_symmetry_Int_Tables_number 1
loop_
_symmetry_equiv_pos_as_xyz
'x,y,z'
loop_
_atom_site_label
_atom_site_type_symbol
_atom_site_fract_x
_atom_site_fract_y
_atom_site_fract_z
V1 V 0.1638 0.1638 0.3289
V2 V 0.8362 0.8362 0.6711
Fe1 Fe 0.5000 0.5000 0.0000
Cu1 Cu 0.1670 0.1670 0.8366
Cu2 Cu 0.5000 0.5000 0.5000
Cu3 Cu 0.8330 0.8330 0.1634
O1 O 0.0259 0.0259 0.8761
O2 O 0.3124 0.3124 0.8041
O3 O 0.3576 0.3576 0.5359
O4 O 0.6424 0.6424 0.4641
O5 O 0.6876 0.6876 0.1959
O6 O 0.9741 0.9741 0.1239
```

***

# 2
The following is a calculated powder diffraction line list of Co2OF3. It was derived from the GGA+U geometry in the Materials Project, using Cu Kα (weighted mean of Kα1 and Kα2).
Kinematic intensities with the Lorentz-polarization factor, no thermal factor.

Peak list (6 most intense, 10 to 80 degrees two-theta, sorted by position)
d (Å), Rel. int.
3.418, 92
3.212, 73
2.610, 100
1.773, 63
1.713, 39
1.398, 33

Atomic structure:
```
data_Co2OF3
_cell_length_a 6.2873
_cell_length_b 4.6900
_cell_length_c 4.6900
_cell_angle_alpha 93.56
_cell_angle_beta 90.00
_cell_angle_gamma 90.00
_symmetry_space_group_name_H-M 'P 1'
_symmetry_Int_Tables_number 1
loop_
_symmetry_equiv_pos_as_xyz
'x,y,z'
loop_
_atom_site_label
_atom_site_type_symbol
_atom_site_fract_x
_atom_site_fract_y
_atom_site_fract_z
Co1 Co 0.0000 0.0000 0.0000
Co2 Co 0.2486 0.4632 0.4632
Co3 Co 0.5000 0.9294 0.9294
Co4 Co 0.7514 0.4632 0.4632
O1 O 0.0000 0.2716 0.2716
O2 O 0.5000 0.6541 0.6541
F1 F 0.0000 0.6842 0.6842
F2 F 0.2495 0.1571 0.7701
F3 F 0.2495 0.7701 0.1571
F4 F 0.5000 0.2429 0.2429
F5 F 0.7505 0.1571 0.7701
F6 F 0.7505 0.7701 0.1571
```

***

# 3
The following is a calculated powder diffraction line list of MoH2O4. It was derived from the GGA+U geometry in the Materials Project, using Cu Kα (weighted mean of Kα1 and Kα2).
Kinematic intensities with the Lorentz-polarization factor, no thermal factor.

Peak list (6 most intense, 10 to 80 degrees two-theta, sorted by position)
d (Å), Rel. int.
5.603, 100
3.495, 24
3.382, 23
3.319, 27
3.102, 17
3.056, 18

Atomic structure:
```
data_MoH2O4
_cell_length_a 3.7631
_cell_length_b 6.3559
_cell_length_c 7.6156
_cell_angle_alpha 67.08
_cell_angle_beta 88.08
_cell_angle_gamma 74.07
_symmetry_space_group_name_H-M 'P 1'
_symmetry_Int_Tables_number 1
loop_
_symmetry_equiv_pos_as_xyz
'x,y,z'
loop_
_atom_site_label
_atom_site_type_symbol
_atom_site_fract_x
_atom_site_fract_y
_atom_site_fract_z
Mo1 Mo 0.2244 0.0819 0.2861
Mo2 Mo 0.7756 0.9181 0.7139
H1 H 0.0012 0.5333 0.1872
H2 H 0.4742 0.5889 0.3552
H3 H 0.5258 0.4111 0.6448
H4 H 0.9988 0.4667 0.8128
O1 O 0.0927 0.3899 0.3060
O2 O 0.1749 0.2064 0.0407
O3 O 0.2634 0.9485 0.6319
O4 O 0.3789 0.7604 0.3211
O5 O 0.6211 0.2396 0.6789
O6 O 0.7366 0.0515 0.3681
O7 O 0.8251 0.7936 0.9593
O8 O 0.9073 0.6101 0.6940
```

***

# 4
The following is a calculated powder diffraction line list of MgCrW2O8. It was derived from the GGA+U geometry in the Materials Project, using Cu Kα (weighted mean of Kα1 and Kα2).
Kinematic intensities with the Lorentz-polarization factor, no thermal factor.

Peak list (6 most intense, 10 to 80 degrees two-theta, sorted by position)
d (Å), Rel. int.
7.227, 100
4.856, 65
3.720, 31
3.120, 33
2.521, 28
2.352, 16

Atomic structure:
```
data_MgCrW2O8
_cell_length_a 5.0018
_cell_length_b 5.3412
_cell_length_c 7.6855
_cell_angle_alpha 107.79
_cell_angle_beta 93.68
_cell_angle_gamma 105.22
_symmetry_space_group_name_H-M 'P 1'
_symmetry_Int_Tables_number 1
loop_
_symmetry_equiv_pos_as_xyz
'x,y,z'
loop_
_atom_site_label
_atom_site_type_symbol
_atom_site_fract_x
_atom_site_fract_y
_atom_site_fract_z
Mg1 Mg 0.0000 0.0000 0.0000
Cr1 Cr 0.7154 0.5888 0.5827
W1 W 0.4711 0.0936 0.7253
W2 W 0.9494 0.0885 0.4457
O1 O 0.0117 0.8993 0.2202
O2 O 0.0813 0.8623 0.5948
O3 O 0.3370 0.3096 0.5637
O4 O 0.3458 0.2084 0.9457
O5 O 0.5957 0.8480 0.4671
O6 O 0.6680 0.8614 0.8142
O7 O 0.8164 0.3304 0.3646
O8 O 0.8382 0.3424 0.7055
```

***

> What is the formula in the second record?

Co2OF3